Computed XRD peak list of InFe2N2 for Cu Kα, from a PBE-relaxed structure.
Kinematic intensities with the Lorentz-polarization factor, no thermal factor.

Structural model:
a = 2.9820 Å, b = 2.9820 Å, c = 24.3723 Å
α = 90.00°, β = 90.00°, γ = 120.00°
Fractional coordinates of all 15 atoms:
1 In 0.0000 0.0000 0.0000
2 In 0.3333 0.6667 0.6667
3 In 0.6667 0.3333 0.3333
4 Fe 0.0000 0.0000 0.2075
5 Fe 0.0000 0.0000 0.7925
6 Fe 0.3333 0.6667 0.4592
7 Fe 0.3333 0.6667 0.8742
8 Fe 0.6667 0.3333 0.1258
9 Fe 0.6667 0.3333 0.5408
10 N 0.0000 0.0000 0.1033
11 N 0.0000 0.0000 0.8967
12 N 0.3333 0.6667 0.5634
13 N 0.3333 0.6667 0.7699
14 N 0.6667 0.3333 0.2301
15 N 0.6667 0.3333 0.4366

The 10 most intense peaks (10° ≤ 2θ ≤ 80°), in order of falling intensity:
d 2.282, I = 100, (0 1 5)
d 2.568, I = 96, (1 0 1)
d 2.708, I = 63, (0 0 9)
d 1.773, I = 63, (1 0 10)
d 2.378, I = 61, (1 0 4)
d 1.491, I = 37, (1 1 0)
d 4.062, I = 35, (0 0 6)
d 1.306, I = 33, (1 1 9)
d 1.444, I = 19, (0 1 14)
d 1.248, I = 14, (2 0 5)

Computed XRD peak list of ZnInFeN2 for Cu Kα, from a PBE-relaxed structure.
Kinematic intensities with the Lorentz-polarization factor, no thermal factor.

Structural model:
a = 4.6525 Å, b = 4.6525 Å, c = 4.7658 Å
α = 90.00°, β = 90.00°, γ = 120.00°
Fractional coordinates of all 5 atoms:
1 Zn 0.0000 0.0000 0.0000
2 In 0.3333 0.6667 0.0000
3 Fe 0.6667 0.3333 0.0000
4 N 0.6667 0.3333 0.3778
5 N 0.6667 0.3333 0.6222

The 10 most intense peaks (10° ≤ 2θ ≤ 80°), in order of falling intensity:
d 4.766, I = 100, (0 0 1)
d 2.090, I = 69, (1 1 1)
d 2.326, I = 68, (1 1 0)
d 1.665, I = 38, (1 1 2)
d 2.383, I = 20, (0 0 2)
d 3.077, I = 18, (1 0 1)
d 1.312, I = 18, (1 1 3)
d 1.293, I = 14, (3 0 1)
d 1.343, I = 10, (3 0 0)
d 4.029, I = 6, (1 0 0)

Q: Which formula does entry 1 have?
A: InFe2N2

Q: Number 1 is which compound?
A: InFe2N2